[1]
Cd12Hg16Bi: calculated powder diffractogram (λ = 1.5418 Å (Cu Kα)), based on a DFT-relaxed cell (GGA-PBE, Alexandria).
Peak positions follow from Bragg's law for the DFT cell and can differ from measured ones.

Largest 8 diffraction maxima, by intensity, 2θ = 15–90°:
2θ 33.94, intensity 100; 2θ 30.21, intensity 69; 2θ 38.02, intensity 58; 2θ 35.77, intensity 53; 2θ 34.19, intensity 52; 2θ 30.79, intensity 50; 2θ 32.17, intensity 50; 2θ 31.37, intensity 41

Cell and atoms:
```
29
Lattice="5.933 -9.473 0.000 5.933 9.473 0.000 -3.411 0.000 6.641" Properties=species:S:1:pos:R:3 pbc="T T T"
Cd 0.000 0.000 0.000
Cd 3.901 7.376 3.678
Cd 0.145 0.000 3.066
Cd 5.703 4.138 0.675
Cd 3.844 2.047 2.061
Cd 3.844 -2.047 2.061
Cd 4.627 2.354 6.148
Cd 6.988 1.938 2.525
Cd 5.703 -4.138 0.675
Cd 4.627 -2.354 6.148
Cd 6.988 -1.938 2.525
Cd 3.901 -7.376 3.678
Hg 1.684 6.601 5.617
Hg -0.611 3.132 6.088
Hg 2.885 5.173 1.834
Hg 2.207 3.364 4.434
Hg -0.594 0.000 5.952
Hg 6.483 6.832 1.819
Hg -0.611 -3.132 6.088
Hg 5.386 4.325 3.840
Hg 5.579 0.000 0.606
Hg 2.207 -3.364 4.434
Hg 2.885 -5.173 1.834
Hg 6.181 0.000 4.681
Hg 1.684 -6.601 5.617
Hg 9.137 0.000 1.404
Hg 5.386 -4.325 3.840
Hg 6.483 -6.832 1.819
Bi 2.994 0.000 4.179
```

***

[2]
Er3Sc9Sn2: calculated powder diffractogram (λ = 1.5418 Å (Cu Kα)), based on a DFT-relaxed cell (GGA-PBE, Alexandria).
Peak positions follow from Bragg's law for the DFT cell and can differ from measured ones.

Largest 8 diffraction maxima, by intensity, 2θ = 15–90°:
2θ 32.26, intensity 100; 2θ 35.49, intensity 75; 2θ 19.95, intensity 47; 2θ 37.69, intensity 33; 2θ 30.84, intensity 31; 2θ 41.25, intensity 21; 2θ 32.58, intensity 21; 2θ 28.68, intensity 21

Cell and atoms:
```
14
Lattice="-2.387 6.138 6.161 2.387 -6.138 6.161 2.387 6.138 -6.161" Properties=species:S:1:pos:R:3 pbc="T T T"
Er 0.000 0.000 0.000
Er 0.000 3.530 0.000
Er 0.000 8.746 0.000
Sc 2.387 1.603 -1.485
Sc 2.387 4.472 -2.778
Sc 2.387 1.603 1.485
Sc 0.000 1.666 3.383
Sc 0.000 0.000 6.161
Sc 2.387 4.472 2.778
Sc 0.000 4.535 4.676
Sc 0.000 1.666 8.940
Sc 0.000 4.535 7.647
Sn 2.387 0.000 4.211
Sn 0.000 6.138 1.950
```

***

[3]
Ba4Zn3Ag: calculated powder diffractogram (λ = 1.5418 Å (Cu Kα)), based on a DFT-relaxed cell (GGA-PBE, Alexandria).
Peak positions follow from Bragg's law for the DFT cell and can differ from measured ones.

Largest 8 diffraction maxima, by intensity, 2θ = 15–90°:
2θ 26.89, intensity 100; 2θ 28.54, intensity 62; 2θ 34.01, intensity 52; 2θ 47.14, intensity 31; 2θ 36.71, intensity 29; 2θ 34.47, intensity 28; 2θ 37.12, intensity 28; 2θ 23.23, intensity 24

Cell and atoms:
```
8
Lattice="4.844 0.000 0.000 0.000 4.896 0.000 0.000 0.000 12.288" Properties=species:S:1:pos:R:3 pbc="T T T"
Ba 0.000 0.000 0.000
Ba 0.000 2.448 3.488
Ba 2.422 0.000 6.126
Ba 2.422 2.448 9.648
Zn 0.000 2.448 7.172
Zn 2.422 0.000 2.412
Zn 2.422 2.448 1.056
Ag 0.000 0.000 8.583
```

***

[4]
PrNd4Sn3: calculated powder diffractogram (λ = 1.5418 Å (Cu Kα)), based on a DFT-relaxed cell (GGA-PBE, Alexandria).
Peak positions follow from Bragg's law for the DFT cell and can differ from measured ones.

Largest 8 diffraction maxima, by intensity, 2θ = 15–90°:
2θ 29.20, intensity 100; 2θ 33.84, intensity 72; 2θ 31.54, intensity 49; 2θ 37.14, intensity 48; 2θ 34.34, intensity 39; 2θ 29.35, intensity 39; 2θ 48.05, intensity 30; 2θ 62.86, intensity 24

Cell and atoms:
```
8
Lattice="5.940 -2.421 0.000 5.940 2.421 0.000 -3.166 0.000 8.976" Properties=species:S:1:pos:R:3 pbc="T T T"
Pr 0.000 0.000 0.000
Nd 0.299 0.000 3.873
Nd 3.545 0.000 1.458
Nd 5.169 0.000 7.518
Nd 8.416 0.000 5.103
Sn 1.448 0.000 7.154
Sn 4.357 0.000 4.488
Sn 7.267 0.000 1.822
```

***

[5]
Tb2Ho3Pu: calculated powder diffractogram (λ = 1.5418 Å (Cu Kα)), based on a DFT-relaxed cell (GGA-PBE, Alexandria).
Peak positions follow from Bragg's law for the DFT cell and can differ from measured ones.

Largest 8 diffraction maxima, by intensity, 2θ = 15–90°:
2θ 33.93, intensity 100; 2θ 31.48, intensity 96; 2θ 22.04, intensity 59; 2θ 15.60, intensity 59; 2θ 37.46, intensity 42; 2θ 32.74, intensity 39; 2θ 30.63, intensity 37; 2θ 43.96, intensity 36

Cell and atoms:
```
12
Lattice="-5.682 5.970 3.121 5.682 -5.970 3.121 5.682 5.970 -3.121" Properties=species:S:1:pos:R:3 pbc="T T T"
Tb 2.805 1.204 0.000
Tb 2.805 -1.204 3.121
Tb 2.877 7.174 0.000
Tb 2.877 4.766 3.121
Ho 5.682 -2.788 1.561
Ho 0.000 0.000 1.561
Ho 5.682 2.788 1.561
Ho 0.000 3.182 1.561
Ho 0.000 0.000 4.682
Ho 0.000 8.757 1.561
Pu 5.682 0.000 0.000
Pu 0.000 5.970 0.000
```

***

[6]
Er3Zn3Au2: calculated powder diffractogram (λ = 1.5418 Å (Cu Kα)), based on a DFT-relaxed cell (GGA-PBE, Alexandria).
Peak positions follow from Bragg's law for the DFT cell and can differ from measured ones.

Largest 8 diffraction maxima, by intensity, 2θ = 15–90°:
2θ 34.05, intensity 100; 2θ 37.03, intensity 38; 2θ 37.92, intensity 32; 2θ 43.23, intensity 22; 2θ 24.56, intensity 16; 2θ 73.40, intensity 15; 2θ 62.30, intensity 15; 2θ 47.47, intensity 15

Cell and atoms:
```
8
Lattice="7.249 0.000 0.000 -3.625 6.278 0.000 0.000 0.000 3.831" Properties=species:S:1:pos:R:3 pbc="T T T"
Er -1.438 2.491 0.000
Er 2.876 0.000 0.000
Er 2.186 3.787 0.000
Zn -2.822 4.888 1.915
Zn 0.802 1.390 1.915
Zn 5.644 0.000 1.915
Au 0.000 4.185 1.915
Au 3.625 2.093 1.915
```

***

[7]
Tb8PmPr2: calculated powder diffractogram (λ = 1.5418 Å (Cu Kα)), based on a DFT-relaxed cell (GGA-PBE, Alexandria).
Peak positions follow from Bragg's law for the DFT cell and can differ from measured ones.

Largest 8 diffraction maxima, by intensity, 2θ = 15–90°:
2θ 30.44, intensity 100; 2θ 35.29, intensity 51; 2θ 60.35, intensity 43; 2θ 50.77, intensity 36; 2θ 82.70, intensity 18; 2θ 85.34, intensity 15; 2θ 63.34, intensity 12; 2θ 74.61, intensity 4

Cell and atoms:
```
11
Lattice="9.164 -2.544 0.000 9.164 2.544 0.000 -2.121 0.000 7.760" Properties=species:S:1:pos:R:3 pbc="T T T"
Tb 0.334 0.000 1.760
Tb 1.044 0.000 5.266
Tb 4.586 0.000 4.596
Tb 7.422 0.000 0.354
Tb 8.785 0.000 7.406
Tb 11.622 0.000 3.165
Tb 15.163 0.000 2.494
Tb 15.873 0.000 6.000
Pm 8.104 0.000 3.880
Pr 3.873 0.000 1.067
Pr 12.334 0.000 6.693
```

***

[8]
Nb2PtRh8: calculated powder diffractogram (λ = 1.5418 Å (Cu Kα)), based on a DFT-relaxed cell (GGA-PBE, Alexandria).
Peak positions follow from Bragg's law for the DFT cell and can differ from measured ones.

Largest 8 diffraction maxima, by intensity, 2θ = 15–90°:
2θ 41.33, intensity 100; 2θ 43.06, intensity 46; 2θ 38.33, intensity 29; 2θ 77.76, intensity 20; 2θ 42.67, intensity 13; 2θ 62.53, intensity 11; 2θ 29.06, intensity 11; 2θ 74.15, intensity 10

Cell and atoms:
```
11
Lattice="-2.100 3.224 6.305 2.100 -3.224 6.305 2.100 3.224 -6.305" Properties=species:S:1:pos:R:3 pbc="T T T"
Nb 0.000 0.000 2.524
Nb 0.000 0.000 10.085
Pt 0.000 0.000 6.305
Rh 2.100 1.365 -1.796
Rh 0.000 1.328 0.000
Rh 2.100 0.000 4.228
Rh 2.100 1.365 1.796
Rh 0.000 1.859 4.509
Rh 0.000 3.224 2.077
Rh 0.000 5.119 0.000
Rh 0.000 1.859 8.100
```

***

[9]
Pa3Se4: calculated powder diffractogram (λ = 1.5418 Å (Cu Kα)), based on a DFT-relaxed cell (GGA-PBE, Alexandria).
Peak positions follow from Bragg's law for the DFT cell and can differ from measured ones.

Largest 8 diffraction maxima, by intensity, 2θ = 15–90°:
2θ 36.18, intensity 100; 2θ 36.52, intensity 88; 2θ 65.29, intensity 33; 2θ 52.35, intensity 32; 2θ 25.48, intensity 29; 2θ 20.99, intensity 26; 2θ 27.86, intensity 20; 2θ 50.21, intensity 19

Cell and atoms:
```
7
Lattice="2.483 1.433 8.000 -2.483 1.433 8.000 0.000 -2.867 8.000" Properties=species:S:1:pos:R:3 pbc="T T T"
Pa 0.000 0.000 0.000
Pa 0.000 0.000 5.791
Pa 0.000 0.000 18.210
Se 0.000 0.000 2.897
Se 0.000 0.000 8.915
Se 0.000 0.000 15.086
Se 0.000 0.000 21.104
```

***

[10]
Ac4TlIr2: calculated powder diffractogram (λ = 1.5418 Å (Cu Kα)), based on a DFT-relaxed cell (GGA-PBE, Alexandria).
Peak positions follow from Bragg's law for the DFT cell and can differ from measured ones.

Largest 8 diffraction maxima, by intensity, 2θ = 15–90°:
2θ 27.93, intensity 100; 2θ 26.68, intensity 65; 2θ 29.82, intensity 61; 2θ 40.85, intensity 41; 2θ 41.06, intensity 39; 2θ 41.31, intensity 35; 2θ 36.87, intensity 30; 2θ 50.98, intensity 26

Cell and atoms:
```
14
Lattice="2.186 -7.388 0.000 2.186 7.388 0.000 0.000 0.000 14.984" Properties=species:S:1:pos:R:3 pbc="T T T"
Ac 0.000 0.000 0.000
Ac 0.000 0.000 7.492
Ac 2.186 3.459 9.109
Ac 2.186 3.459 13.366
Ac 2.186 1.002 3.746
Ac 2.186 -1.002 11.238
Ac 2.186 -3.459 1.617
Ac 2.186 -3.459 5.875
Tl 2.186 5.740 3.746
Tl 2.186 -5.740 11.238
Ir 2.186 1.956 0.959
Ir 2.186 1.956 6.533
Ir 2.186 -1.956 8.451
Ir 2.186 -1.956 14.025
```

***

[11]
NaNi2Sb2: calculated powder diffractogram (λ = 1.5418 Å (Cu Kα)), based on a DFT-relaxed cell (GGA-PBE, Alexandria).
Peak positions follow from Bragg's law for the DFT cell and can differ from measured ones.

Largest 8 diffraction maxima, by intensity, 2θ = 15–90°:
2θ 18.66, intensity 100; 2θ 34.12, intensity 66; 2θ 44.68, intensity 57; 2θ 17.56, intensity 56; 2θ 44.07, intensity 55; 2θ 36.32, intensity 53; 2θ 31.59, intensity 50; 2θ 21.23, intensity 49

Cell and atoms:
```
10
Lattice="3.032 -5.581 0.000 3.032 5.581 0.000 -2.419 0.000 6.329" Properties=species:S:1:pos:R:3 pbc="T T T"
Na 1.218 4.011 4.746
Na 2.428 -4.011 1.582
Ni 2.161 1.591 0.307
Ni 2.694 1.591 2.858
Ni 0.952 -1.591 3.471
Ni 1.485 -1.591 6.022
Sb 2.428 3.729 1.582
Sb 1.218 0.559 4.746
Sb 2.428 -0.559 1.582
Sb 1.218 -3.729 4.746
```

***

[12]
TmNp2Sb3: calculated powder diffractogram (λ = 1.5418 Å (Cu Kα)), based on a DFT-relaxed cell (GGA-PBE, Alexandria).
Peak positions follow from Bragg's law for the DFT cell and can differ from measured ones.

Largest 8 diffraction maxima, by intensity, 2θ = 15–90°:
2θ 41.27, intensity 100; 2θ 28.82, intensity 87; 2θ 28.93, intensity 43; 2θ 51.14, intensity 36; 2θ 67.66, intensity 31; 2θ 75.18, intensity 23; 2θ 24.92, intensity 17; 2θ 67.85, intensity 15

Cell and atoms:
```
6
Lattice="-2.190 2.190 9.260 2.190 -2.190 9.260 2.190 2.190 -9.260" Properties=species:S:1:pos:R:3 pbc="T T T"
Tm 0.000 0.000 0.000
Np 0.000 0.000 6.172
Np 0.000 0.000 12.348
Sb 0.000 0.000 3.062
Sb 0.000 0.000 9.260
Sb 0.000 0.000 15.458
```